Structure and simulated PXRD pattern of Ag3BS3 (a crystal structure in OQMD, relaxed with GGA-PBE; copper Kα).
Intensities are scaled so that the largest is 100.

Largest 12 diffraction maxima, in order of falling intensity, 10° ≤ 2θ ≤ 90°:
2θ (°)  I_rel
29.4  100.0
30.8  95.3
47.6  48.6
15.3  37.5
53.9  28.6
26.6  27.3
54.8  23.6
43.1  23.1
21.2  22.4
35.3  22.2
23.3  21.1
33.3  18.5

Atomic structure:
Lattice parameters (Å, degrees): 8.4078 8.4078 8.4078 87.29 87.29 87.29
Atoms (fractional coordinates):
Ag: 0.0799 0.5961 0.1182
Ag: 0.0961 0.5799 0.6182
Ag: 0.1182 0.0799 0.5961
Ag: 0.3818 0.9039 0.4201
Ag: 0.4039 0.8818 0.9201
Ag: 0.4201 0.3818 0.9039
Ag: 0.5799 0.6182 0.0961
Ag: 0.5961 0.1182 0.0799
Ag: 0.6182 0.0961 0.5799
Ag: 0.8818 0.9201 0.4039
Ag: 0.9039 0.4201 0.3818
Ag: 0.9201 0.4039 0.8818
B: 0.1319 0.1319 0.1319
B: 0.3681 0.3681 0.3681
B: 0.6319 0.6319 0.6319
B: 0.8681 0.8681 0.8681
S: 0.0479 0.8357 0.7426
S: 0.1643 0.2574 0.9521
S: 0.2426 0.3357 0.5479
S: 0.2574 0.9521 0.1643
S: 0.3357 0.5479 0.2426
S: 0.4521 0.7574 0.6643
S: 0.5479 0.2426 0.3357
S: 0.6643 0.4521 0.7574
S: 0.7426 0.0479 0.8357
S: 0.7574 0.6643 0.4521
S: 0.8357 0.7426 0.0479
S: 0.9521 0.1643 0.2574